Record 1
WO2F: theoretical X-ray powder pattern (copper Kα), based on a cell relaxed with GGA+U.

Top 10 peaks for 2θ = 15–90°, by angle:
| Position (°2θ) | d [Å] | Rel. int. |
| --- | --- | --- |
| 21.82 | 4.073 | 55 |
| 23.28 | 3.821 | 100 |
| 32.12 | 2.787 | 56 |
| 33.09 | 2.707 | 14 |
| 33.22 | 2.697 | 14 |
| 47.59 | 1.911 | 19 |
| 50.80 | 1.797 | 24 |
| 52.93 | 1.730 | 20 |
| 56.59 | 1.626 | 13 |
| 67.18 | 1.393 | 13 |

Cell and atoms:
Cell lengths 5.5850, 5.5850, 5.5850 Å; angles 122.02, 86.34, 122.25 degrees
Fractional positions:
W  0.0000  0.0000  0.0000
W  0.5000  0.0000  0.5000
O  0.2570  0.0000  0.7570
O  0.2570  0.5000  0.2570
O  0.7430  0.0000  0.2430
O  0.7430  0.5000  0.7430
F  0.2316  0.9816  0.2500
F  0.7684  0.0184  0.7500

Record 2
WOF4: theoretical X-ray powder pattern (copper Kα), based on a cell relaxed with GGA+U.

Top 10 peaks for 2θ = 15–90°, by angle:
| Position (°2θ) | d [Å] | Rel. int. |
| --- | --- | --- |
| 20.17 | 4.402 | 63 |
| 21.38 | 4.156 | 88 |
| 21.82 | 4.074 | 100 |
| 21.93 | 4.052 | 26 |
| 26.69 | 3.340 | 23 |
| 29.97 | 2.981 | 13 |
| 31.48 | 2.842 | 19 |
| 34.72 | 2.584 | 13 |
| 36.05 | 2.492 | 13 |
| 37.66 | 2.389 | 13 |

Cell and atoms:
Cell lengths 5.6859, 17.6098, 8.1075 Å; angles 90.00, 91.57, 90.00 degrees
Fractional positions:
W  0.2370  0.1125  0.0999
W  0.2370  0.3875  0.5999
W  0.2448  0.6414  0.0173
W  0.2448  0.8586  0.5173
W  0.7552  0.1414  0.4827
W  0.7552  0.3586  0.9827
W  0.7630  0.6125  0.4001
W  0.7630  0.8875  0.9001
O  0.0639  0.6365  0.8458
O  0.0639  0.8635  0.3458
O  0.3992  0.0789  0.9413
O  0.3992  0.4211  0.4413
O  0.6008  0.5789  0.5587
O  0.6008  0.9211  0.0587
O  0.9361  0.1365  0.6542
O  0.9361  0.3635  0.1542
F  0.0014  0.6575  0.1855
F  0.0014  0.8425  0.6855
F  0.0667  0.5871  0.4787
F  0.0667  0.9129  0.9787
F  0.1995  0.2153  0.0396
F  0.1995  0.2847  0.5396
F  0.2412  0.0283  0.2443
F  0.2412  0.4717  0.7443
F  0.2441  0.5403  0.0943
F  0.2441  0.9597  0.5943
F  0.2938  0.7471  0.0380
F  0.2938  0.7529  0.5380
F  0.4636  0.1281  0.5807
F  0.4636  0.3719  0.0807
F  0.4954  0.1507  0.2469
F  0.4954  0.3493  0.7469
F  0.5046  0.6507  0.2531
F  0.5046  0.8493  0.7531
F  0.5364  0.6281  0.9193
F  0.5364  0.8719  0.4193
F  0.7062  0.2471  0.4620
F  0.7062  0.2529  0.9620
F  0.7559  0.0403  0.4057
F  0.7559  0.4597  0.9057
F  0.7588  0.5283  0.2557
F  0.7588  0.9717  0.7557
F  0.8005  0.7153  0.4604
F  0.8005  0.7847  0.9604
F  0.9333  0.0871  0.0213
F  0.9333  0.4129  0.5213
F  0.9986  0.1575  0.3145
F  0.9986  0.3425  0.8145

Record 3
WOF4: theoretical X-ray powder pattern (copper Kα), based on a cell relaxed with GGA+U.

Top 10 peaks for 2θ = 15–90°, by angle:
| Position (°2θ) | d [Å] | Rel. int. |
| --- | --- | --- |
| 16.82 | 5.272 | 57 |
| 17.86 | 4.966 | 100 |
| 20.13 | 4.411 | 44 |
| 20.51 | 4.330 | 51 |
| 22.77 | 3.905 | 48 |
| 23.16 | 3.840 | 19 |
| 23.66 | 3.760 | 24 |
| 24.78 | 3.592 | 19 |
| 27.98 | 3.189 | 26 |
| 30.16 | 2.963 | 22 |

Cell and atoms:
Cell lengths 5.4012, 6.2026, 6.5833 Å; angles 102.58, 94.43, 100.45 degrees
Fractional positions:
W  0.1357  0.2397  0.2149
W  0.8643  0.7603  0.7851
O  0.3462  0.4916  0.2600
O  0.6538  0.5084  0.7400
F  0.0279  0.2395  0.4794
F  0.1443  0.1215  0.9109
F  0.1676  0.6734  0.8678
F  0.3548  0.0450  0.2576
F  0.6452  0.9550  0.7424
F  0.8324  0.3266  0.1322
F  0.8557  0.8785  0.0891
F  0.9721  0.7605  0.5206

Record 4
VPbF5: theoretical X-ray powder pattern (copper Kα), based on a cell relaxed with GGA+U.

Top 10 peaks for 2θ = 15–90°, by angle:
| Position (°2θ) | d [Å] | Rel. int. |
| --- | --- | --- |
| 16.71 | 5.305 | 36 |
| 17.63 | 5.031 | 29 |
| 23.40 | 3.801 | 53 |
| 24.38 | 3.650 | 63 |
| 26.57 | 3.355 | 38 |
| 27.17 | 3.282 | 100 |
| 28.90 | 3.090 | 32 |
| 40.27 | 2.239 | 27 |
| 42.11 | 2.146 | 30 |
| 43.51 | 2.080 | 38 |

Cell and atoms:
Cell lengths 11.2701, 11.2701, 11.2701 Å; angles 96.53, 96.53, 140.58 degrees
Fractional positions:
V  0.0000  0.0000  0.0000
V  0.0697  0.9168  0.5192
V  0.2384  0.7384  0.5000
V  0.3976  0.5505  0.4808
V  0.4909  0.4909  0.0000
V  0.5505  0.0697  0.1529
V  0.7384  0.2384  0.5000
V  0.9168  0.3976  0.8471
Pb  0.1465  0.4642  0.1626
Pb  0.3016  0.9839  0.8374
Pb  0.4642  0.3016  0.3177
Pb  0.4934  0.7750  0.8267
Pb  0.6667  0.4934  0.7183
Pb  0.7750  0.9484  0.2817
Pb  0.9484  0.6667  0.1733
Pb  0.9839  0.1465  0.6823
F  0.0206  0.6267  0.8105
F  0.0395  0.8705  0.9178
F  0.1186  0.6704  0.3165
F  0.1217  0.0395  0.1690
F  0.1614  0.2978  0.3535
F  0.1710  0.5185  0.8699
F  0.1962  0.8614  0.5779
F  0.2101  0.0206  0.3939
F  0.2459  0.2459  0.0000
F  0.2772  0.4745  0.6155
F  0.2836  0.6184  0.4221
F  0.2978  0.9443  0.1364
F  0.3011  0.1710  0.6525
F  0.3540  0.8021  0.6835
F  0.3747  0.4523  0.8323
F  0.4523  0.6200  0.0777
F  0.4655  0.9539  0.9631
F  0.4745  0.8590  0.1973
F  0.4885  0.9885  0.5000
F  0.5024  0.4655  0.5117
F  0.5185  0.6486  0.3475
F  0.5423  0.3747  0.9223
F  0.6184  0.1962  0.3348
F  0.6200  0.5423  0.1677
F  0.6267  0.8162  0.6061
F  0.6486  0.3011  0.1301
F  0.6618  0.2772  0.8027
F  0.6704  0.3540  0.5519
F  0.7441  0.7441  0.0000
F  0.8021  0.1186  0.4481
F  0.8078  0.1614  0.8636
F  0.8162  0.2101  0.1895
F  0.8590  0.6618  0.3845
F  0.8614  0.2836  0.6652
F  0.8705  0.9527  0.8310
F  0.9443  0.8078  0.6465
F  0.9527  0.1217  0.0822
F  0.9539  0.9908  0.4883
F  0.9885  0.4885  0.5000
F  0.9908  0.5024  0.0369

Record 5
RbVF3: theoretical X-ray powder pattern (copper Kα), based on a cell relaxed with GGA+U.

Top 10 peaks for 2θ = 15–90°, by angle:
| Position (°2θ) | d [Å] | Rel. int. |
| --- | --- | --- |
| 20.78 | 4.275 | 2 |
| 29.55 | 3.023 | 100 |
| 36.40 | 2.468 | 25 |
| 42.28 | 2.137 | 50 |
| 52.43 | 1.745 | 39 |
| 61.34 | 1.511 | 29 |
| 69.54 | 1.352 | 17 |
| 73.47 | 1.289 | 8 |
| 77.32 | 1.234 | 9 |
| 84.87 | 1.142 | 20 |

Cell and atoms:
Cell lengths 4.2748, 4.2748, 4.2748 Å; angles 90.00, 90.00, 90.00 degrees
Fractional positions:
Rb  0.0000  0.0000  0.0000
V  0.5000  0.5000  0.5000
F  0.0000  0.5000  0.5000
F  0.5000  0.0000  0.5000
F  0.5000  0.5000  0.0000

Record 6
Rb3VF6: theoretical X-ray powder pattern (copper Kα), based on a cell relaxed with GGA+U.

Top 10 peaks for 2θ = 15–90°, by angle:
| Position (°2θ) | d [Å] | Rel. int. |
| --- | --- | --- |
| 27.29 | 3.268 | 100 |
| 33.58 | 2.668 | 10 |
| 38.97 | 2.311 | 42 |
| 42.63 | 2.121 | 4 |
| 48.23 | 1.887 | 37 |
| 56.30 | 1.634 | 24 |
| 63.67 | 1.462 | 21 |
| 70.59 | 1.334 | 7 |
| 77.23 | 1.235 | 22 |
| 83.70 | 1.155 | 3 |

Cell and atoms:
Cell lengths 6.5363, 6.5363, 6.5363 Å; angles 60.00, 60.00, 60.00 degrees
Fractional positions:
Rb  0.0000  0.0000  0.0000
Rb  0.2500  0.2500  0.2500
Rb  0.7500  0.7500  0.7500
V  0.5000  0.5000  0.5000
F  0.2853  0.2853  0.7147
F  0.2853  0.7147  0.2853
F  0.2853  0.7147  0.7147
F  0.7147  0.2853  0.2853
F  0.7147  0.2853  0.7147
F  0.7147  0.7147  0.2853

Record 7
VZnSF5: theoretical X-ray powder pattern (copper Kα), based on a cell relaxed with GGA+U.

Top 10 peaks for 2θ = 15–90°, by angle:
| Position (°2θ) | d [Å] | Rel. int. |
| --- | --- | --- |
| 17.32 | 5.119 | 83 |
| 18.64 | 4.761 | 65 |
| 18.98 | 4.676 | 78 |
| 22.71 | 3.915 | 100 |
| 25.09 | 3.550 | 48 |
| 25.51 | 3.492 | 77 |
| 26.10 | 3.414 | 59 |
| 26.70 | 3.339 | 89 |
| 34.64 | 2.590 | 48 |
| 36.18 | 2.483 | 48 |

Cell and atoms:
Cell lengths 5.8224, 7.4205, 8.0625 Å; angles 92.97, 107.22, 110.94 degrees
Fractional positions:
V  0.0000  0.0000  0.0000
V  0.4988  0.5003  0.9991
Zn  0.3067  0.8556  0.7431
Zn  0.6942  0.1469  0.2562
S  0.3463  0.8769  0.4703
S  0.6572  0.1292  0.5301
F  0.0081  0.9058  0.7676
F  0.1812  0.2799  0.9812
F  0.2836  0.6203  0.8524
F  0.3360  0.9791  0.0936
F  0.4934  0.6187  0.1959
F  0.5029  0.3809  0.8012
F  0.6644  0.0218  0.9066
F  0.7148  0.3802  0.1444
F  0.8170  0.7199  0.0171
F  0.9917  0.0946  0.2321

Record 8
WSF4: theoretical X-ray powder pattern (copper Kα), based on a cell relaxed with GGA+U.

Top 10 peaks for 2θ = 15–90°, by angle:
| Position (°2θ) | d [Å] | Rel. int. |
| --- | --- | --- |
| 16.15 | 5.489 | 26 |
| 18.02 | 4.923 | 41 |
| 18.51 | 4.794 | 18 |
| 20.08 | 4.423 | 43 |
| 20.46 | 4.340 | 100 |
| 23.75 | 3.746 | 19 |
| 24.29 | 3.665 | 15 |
| 27.10 | 3.290 | 21 |
| 29.02 | 3.077 | 26 |
| 44.88 | 2.020 | 17 |

Cell and atoms:
Cell lengths 17.6913, 5.7739, 9.8462 Å; angles 90.00, 90.00, 90.00 degrees
Fractional positions:
W  0.1291  0.1579  0.0000
W  0.1528  0.4647  0.3922
W  0.3472  0.4647  0.8922
W  0.3709  0.1579  0.5000
W  0.6291  0.8421  0.0000
W  0.6528  0.5353  0.3922
W  0.8472  0.5353  0.8922
W  0.8709  0.8421  0.5000
S  0.0300  0.0126  0.0860
S  0.1367  0.5918  0.5921
S  0.3633  0.5918  0.0921
S  0.4700  0.0126  0.5860
S  0.5300  0.9874  0.0860
S  0.6367  0.4082  0.5921
S  0.8633  0.4082  0.0921
S  0.9700  0.9874  0.5860
F  0.0612  0.5521  0.3075
F  0.0976  0.4601  0.9504
F  0.1154  0.1574  0.4050
F  0.1204  0.0677  0.8162
F  0.1732  0.3084  0.1606
F  0.2014  0.9220  0.0277
F  0.2017  0.7131  0.3039
F  0.2464  0.3262  0.9069
F  0.2536  0.3262  0.4069
F  0.2983  0.7131  0.8039
F  0.2986  0.9220  0.5277
F  0.3268  0.3084  0.6606
F  0.3796  0.0677  0.3162
F  0.3846  0.1574  0.9050
F  0.4024  0.4601  0.4504
F  0.4388  0.5521  0.8075
F  0.5612  0.4479  0.3075
F  0.5976  0.5399  0.9504
F  0.6154  0.8426  0.4050
F  0.6204  0.9323  0.8162
F  0.6732  0.6916  0.1606
F  0.7014  0.0780  0.0277
F  0.7017  0.2869  0.3039
F  0.7464  0.6738  0.9069
F  0.7536  0.6738  0.4069
F  0.7983  0.2869  0.8039
F  0.7986  0.0780  0.5277
F  0.8268  0.6916  0.6606
F  0.8796  0.9323  0.3162
F  0.8846  0.8426  0.9050
F  0.9024  0.5399  0.4504
F  0.9388  0.4479  0.8075

Record 9
Tl2VF6: theoretical X-ray powder pattern (copper Kα), based on a cell relaxed with GGA+U.

Top 10 peaks for 2θ = 15–90°, by angle:
| Position (°2θ) | d [Å] | Rel. int. |
| --- | --- | --- |
| 20.51 | 4.330 | 61 |
| 29.17 | 3.062 | 100 |
| 35.92 | 2.500 | 47 |
| 41.72 | 2.165 | 34 |
| 46.92 | 1.936 | 34 |
| 51.71 | 1.768 | 40 |
| 60.47 | 1.531 | 21 |
| 64.57 | 1.443 | 17 |
| 68.53 | 1.369 | 20 |
| 83.54 | 1.157 | 23 |

Cell and atoms:
Cell lengths 6.1236, 6.1236, 6.1236 Å; angles 60.00, 60.00, 60.00 degrees
Fractional positions:
Tl  0.2500  0.2500  0.2500
Tl  0.7500  0.7500  0.7500
V  0.0000  0.0000  0.0000
F  0.2176  0.2176  0.7824
F  0.2176  0.7824  0.2176
F  0.2176  0.7824  0.7824
F  0.7824  0.2176  0.2176
F  0.7824  0.2176  0.7824
F  0.7824  0.7824  0.2176

Record 10
VF3: theoretical X-ray powder pattern (copper Kα), based on a cell relaxed with GGA+U.

Top 10 peaks for 2θ = 15–90°, by angle:
| Position (°2θ) | d [Å] | Rel. int. |
| --- | --- | --- |
| 19.66 | 4.516 | 36 |
| 20.72 | 4.286 | 88 |
| 25.87 | 3.444 | 100 |
| 32.70 | 2.738 | 23 |
| 35.04 | 2.561 | 29 |
| 39.77 | 2.266 | 51 |
| 41.46 | 2.178 | 16 |
| 51.81 | 1.765 | 64 |
| 53.20 | 1.722 | 28 |
| 65.31 | 1.429 | 29 |

Cell and atoms:
Cell lengths 4.8699, 4.8699, 9.0314 Å; angles 90.00, 90.00, 90.00 degrees
Fractional positions:
V  0.0000  0.0000  0.1722
V  0.0000  0.0000  0.8278
V  0.5000  0.5000  0.3278
V  0.5000  0.5000  0.6722
F  0.1815  0.1815  0.0000
F  0.2117  0.2117  0.3203
F  0.2117  0.2117  0.6797
F  0.2883  0.7117  0.1797
F  0.2883  0.7117  0.8203
F  0.3185  0.6815  0.5000
F  0.6815  0.3185  0.5000
F  0.7117  0.2883  0.1797
F  0.7117  0.2883  0.8203
F  0.7883  0.7883  0.3203
F  0.7883  0.7883  0.6797
F  0.8185  0.8185  0.0000